# 1
Structure and theoretical X-ray powder pattern of Pr2Ni12P7 (DFT lattice parameters and positions (PBE); Cu Kα (λ = 1.5418 Å)).

Most intense lines, 2θ = 15–90°, in order of falling intensity:
2θ (°), d_spacing, intensity
38.52, 2.337, 100
48.39, 1.881, 19
56.40, 1.631, 10
48.10, 1.892, 10
46.00, 1.973, 10
29.96, 2.983, 10
74.74, 1.270, 10
83.66, 1.156, 10
41.25, 2.189, 10
34.08, 2.631, 10
26.24, 3.396, 9
53.16, 1.723, 9

Structure:
Unit cell a=9.106 b=3.762 c=9.109 alpha=90.00 beta=119.89 gamma=90.00
Atoms (fractional coordinates):
Pr 0.000 0.000 0.000
Pr 0.333 0.500 0.666
Ni 0.045 0.500 0.760
Ni 0.098 0.000 0.391
Ni 0.240 0.500 0.285
Ni 0.292 0.000 0.901
Ni 0.395 0.000 0.208
Ni 0.549 0.500 0.122
Ni 0.572 0.500 0.450
Ni 0.608 0.000 0.707
Ni 0.714 0.500 0.955
Ni 0.791 0.000 0.187
Ni 0.812 0.000 0.604
Ni 0.878 0.500 0.427
P 0.068 0.000 0.628
P 0.266 0.500 0.036
P 0.371 0.000 0.440
P 0.560 0.000 0.931
P 0.666 0.000 0.333
P 0.768 0.500 0.733
P 0.964 0.500 0.231

# 2
Structure and theoretical X-ray powder pattern of Pr6Ni20P13 (DFT lattice parameters and positions (PBE); Cu Kα (λ = 1.5418 Å)).

Most intense lines, 2θ = 15–90°, in order of falling intensity:
2θ (°), d_spacing, intensity
37.31, 2.410, 100
47.30, 1.922, 23
36.40, 2.469, 20
51.13, 1.786, 18
36.92, 2.435, 15
56.83, 1.620, 13
72.20, 1.308, 12
42.89, 2.108, 12
45.25, 2.004, 12
28.85, 3.094, 11
39.94, 2.257, 10
81.28, 1.184, 10

Structure:
Unit cell a=12.883 b=12.883 c=3.843 alpha=90.00 beta=90.00 gamma=120.00
Atoms (fractional coordinates):
Pr 0.052 0.853 0.000
Pr 0.147 0.200 0.000
Pr 0.520 0.134 0.500
Pr 0.614 0.480 0.500
Pr 0.800 0.948 0.000
Pr 0.866 0.386 0.500
Ni 0.000 0.000 0.500
Ni 0.022 0.598 0.000
Ni 0.094 0.351 0.500
Ni 0.142 0.564 0.500
Ni 0.252 0.739 0.000
Ni 0.258 0.906 0.500
Ni 0.261 0.513 0.000
Ni 0.309 0.076 0.000
Ni 0.356 0.253 0.500
Ni 0.402 0.424 0.000
Ni 0.422 0.858 0.500
Ni 0.436 0.578 0.500
Ni 0.487 0.748 0.000
Ni 0.576 0.978 0.000
Ni 0.649 0.742 0.500
Ni 0.667 0.333 0.000
Ni 0.747 0.104 0.500
Ni 0.767 0.691 0.000
Ni 0.896 0.644 0.500
Ni 0.924 0.233 0.000
P 0.061 0.436 0.000
P 0.100 0.710 0.500
P 0.201 0.053 0.500
P 0.290 0.389 0.500
P 0.333 0.667 0.500
P 0.376 0.939 0.000
P 0.465 0.279 0.000
P 0.564 0.624 0.000
P 0.611 0.900 0.500
P 0.721 0.186 0.000
P 0.814 0.535 0.000
P 0.851 0.799 0.500
P 0.947 0.149 0.500

# 3
Structure and theoretical X-ray powder pattern of Pr9Ni26P12 (DFT lattice parameters and positions (PBE); Cu Kα (λ = 1.5418 Å)).

Most intense lines, 2θ = 15–90°, in order of falling intensity:
2θ (°), d_spacing, intensity
36.96, 2.432, 100
46.87, 1.938, 26
34.73, 2.583, 24
71.42, 1.321, 23
44.10, 2.054, 23
56.79, 1.621, 20
40.45, 2.230, 16
50.63, 1.803, 14
66.31, 1.410, 13
37.41, 2.404, 11
80.43, 1.194, 10
28.58, 3.123, 9

Structure:
Unit cell a=14.424 b=14.424 c=3.876 alpha=90.00 beta=90.00 gamma=120.00
Atoms (fractional coordinates):
Pr 0.182 0.091 0.000
Pr 0.241 0.482 0.500
Pr 0.241 0.759 0.500
Pr 0.518 0.759 0.500
Pr 0.524 0.049 0.500
Pr 0.524 0.476 0.500
Pr 0.909 0.091 0.000
Pr 0.909 0.818 0.000
Pr 0.951 0.476 0.500
Ni 0.000 0.000 0.500
Ni 0.006 0.287 0.500
Ni 0.006 0.719 0.500
Ni 0.137 0.569 0.000
Ni 0.142 0.285 0.000
Ni 0.142 0.858 0.000
Ni 0.281 0.287 0.500
Ni 0.281 0.994 0.500
Ni 0.333 0.667 0.000
Ni 0.410 0.121 0.000
Ni 0.410 0.288 0.000
Ni 0.431 0.569 0.000
Ni 0.431 0.863 0.000
Ni 0.534 0.267 0.500
Ni 0.611 0.223 0.000
Ni 0.611 0.389 0.000
Ni 0.712 0.121 0.000
Ni 0.712 0.590 0.000
Ni 0.713 0.719 0.500
Ni 0.713 0.994 0.500
Ni 0.715 0.858 0.000
Ni 0.733 0.267 0.500
Ni 0.733 0.466 0.500
Ni 0.777 0.389 0.000
Ni 0.879 0.288 0.000
Ni 0.879 0.590 0.000
P 0.058 0.387 0.000
P 0.058 0.671 0.000
P 0.093 0.185 0.500
P 0.093 0.907 0.500
P 0.329 0.387 0.000
P 0.329 0.942 0.000
P 0.361 0.180 0.500
P 0.613 0.671 0.000
P 0.613 0.942 0.000
P 0.815 0.907 0.500
P 0.820 0.180 0.500
P 0.820 0.639 0.500

# 4
Structure and theoretical X-ray powder pattern of Rb2NiP2 (DFT lattice parameters and positions (PBE); Cu Kα (λ = 1.5418 Å)).

Most intense lines, 2θ = 15–90°, in order of falling intensity:
2θ (°), d_spacing, intensity
27.76, 3.213, 100
26.29, 3.390, 38
33.12, 2.705, 37
34.61, 2.591, 30
49.98, 1.825, 20
51.96, 1.760, 20
38.71, 2.326, 18
30.62, 2.920, 16
52.69, 1.737, 16
34.03, 2.634, 14
51.55, 1.773, 14
61.67, 1.504, 13

Structure:
Unit cell a=7.787 b=7.787 c=5.840 alpha=90.00 beta=90.00 gamma=128.38
Atoms (fractional coordinates):
Rb 0.086 0.914 0.750
Rb 0.288 0.712 0.250
Rb 0.712 0.288 0.750
Rb 0.914 0.086 0.250
Ni 0.500 0.500 0.000
Ni 0.500 0.500 0.500
P 0.245 0.434 0.750
P 0.434 0.245 0.250
P 0.566 0.755 0.750
P 0.755 0.566 0.250